Structure and simulated PXRD pattern of K5Rh2O5 (a cell relaxed with PBE; a wavelength of 1.5418 Å).

Peak list (10 most intense, 2θ = 10–90°, sorted by position)
- hkl 2 0 0, 5.393 Å, I = 100
- hkl 2 0 -2, 4.753 Å, I = 59
- hkl 1 1 -2, 3.194 Å, I = 54
- hkl 1 1 2, 2.849 Å, I = 65
- hkl 2 0 -4, 2.836 Å, I = 65
- hkl 3 1 -1, 2.730 Å, I = 35
- hkl 3 1 -2, 2.657 Å, I = 60
- hkl 3 1 0, 2.632 Å, I = 44
- hkl 2 0 3, 2.573 Å, I = 40
- hkl 0 2 0, 1.932 Å, I = 34

Atomic structure:
abc: 11.5739 3.8649 11.4596
angles: 90.00 111.26 90.00
Space group Cm (No. 8)
Symmetry-distinct sites (fractional):
K  0.0000  0.0000  0.0000
K  0.0293  0.5000  0.2736
K  0.0780  0.5000  0.5821
K  0.2662  0.5000  0.1381
K  0.3684  0.5000  0.6813
Rh  0.2529  0.0000  0.8703
Rh  0.2624  0.0000  0.4140
O  0.1678  0.0000  0.2343
O  0.2230  0.0000  0.5663
O  0.2383  0.5000  0.8474
O  0.3195  0.5000  0.4273
O  0.3723  0.0000  0.0473

Structure and simulated PXRD pattern of Sr3Ca4In4 (a cell relaxed with PBE; a wavelength of 1.5418 Å).

Peak list (10 most intense, 2θ = 10–90°, sorted by position)
- hkl 0 0 4, 4.823 Å, I = 32
- hkl 0 2 2, 4.519 Å, I = 28
- hkl 1 2 1, 3.127 Å, I = 100
- hkl 0 3 3, 3.013 Å, I = 37
- hkl 1 1 4, 2.963 Å, I = 99
- hkl 1 0 5, 2.790 Å, I = 33
- hkl 0 2 6, 2.722 Å, I = 54
- hkl 0 4 0, 2.557 Å, I = 34
- hkl 1 3 2, 2.515 Å, I = 37
- hkl 1 5 4, 1.707 Å, I = 35

Atomic structure:
abc: 4.0378 10.2308 19.2924
angles: 90.00 90.00 90.00
Space group Immm (No. 71)
Symmetry-distinct sites (fractional):
Sr  0.0000  0.0000  0.0000
Sr  0.0000  0.5000  0.0997
Ca  0.0000  0.3092  0.3305
In  0.0000  0.0000  0.2569
In  0.0000  0.2193  0.5000

Structure and simulated PXRD pattern of LiLa3N3 (a cell relaxed with PBE; a wavelength of 1.5418 Å).

Peak list (10 most intense, 2θ = 10–90°, sorted by position)
- hkl 1 0 1, 3.476 Å, I = 29
- hkl 0 0 3, 3.054 Å, I = 17
- hkl 1 0 2, 2.905 Å, I = 100
- hkl 1 1 0, 2.657 Å, I = 62
- hkl 0 0 4, 2.290 Å, I = 16
- hkl 1 1 3, 2.004 Å, I = 20
- hkl 2 0 0, 1.878 Å, I = 22
- hkl 1 1 4, 1.735 Å, I = 26
- hkl 2 1 2, 1.577 Å, I = 34
- hkl 2 0 4, 1.452 Å, I = 14

Atomic structure:
abc: 3.7569 3.7569 9.1608
angles: 90.00 90.00 90.00
Space group P4/mmm (No. 123)
Symmetry-distinct sites (fractional):
Li  0.0000  0.0000  0.0000
La  0.0000  0.0000  0.5000
La  0.5000  0.5000  0.2256
N  0.0000  0.0000  0.2211
N  0.5000  0.5000  0.5000

Structure and simulated PXRD pattern of VAg2SnOs (a cell relaxed with PBE; a wavelength of 1.5418 Å).

Peak list (10 most intense, 2θ = 10–90°, sorted by position)
- hkl 1 0 0, 5.074 Å, I = 100
- hkl 0 0 1, 4.949 Å, I = 42
- hkl 1 1 1, 2.905 Å, I = 36
- hkl 2 0 0, 2.537 Å, I = 93
- hkl 0 0 2, 2.475 Å, I = 43
- hkl 2 1 0, 2.269 Å, I = 27
- hkl 1 0 2, 2.224 Å, I = 25
- hkl 2 2 0, 1.794 Å, I = 33
- hkl 2 0 2, 1.772 Å, I = 63
- hkl 2 2 2, 1.452 Å, I = 32

Atomic structure:
abc: 5.0743 5.0743 4.9494
angles: 90.00 90.00 90.00
Space group P4/mmm (No. 123)
Symmetry-distinct sites (fractional):
V  0.0000  0.0000  0.0000
Ag  0.0000  0.5000  0.5000
Sn  0.5000  0.5000  0.0000
Os  0.5000  0.5000  0.5000

Structure and simulated PXRD pattern of AsPSe3 (a cell relaxed with PBE; a wavelength of 1.5418 Å).

Peak list (10 most intense, 2θ = 10–90°, sorted by position)
- hkl 2 0 0, 7.445 Å, I = 100
- hkl 0 1 1, 5.260 Å, I = 18
- hkl 0 2 0, 4.772 Å, I = 37
- hkl 1 2 1, 3.686 Å, I = 28
- hkl 4 1 1, 3.039 Å, I = 48
- hkl 0 3 1, 2.840 Å, I = 13
- hkl 3 1 2, 2.563 Å, I = 9
- hkl 4 2 2, 2.148 Å, I = 13
- hkl 3 3 2, 2.041 Å, I = 16
- hkl 5 3 2, 1.790 Å, I = 14

Atomic structure:
abc: 14.8908 9.5439 6.3034
angles: 90.00 90.00 90.00
Space group Ima2 (No. 46)
Symmetry-distinct sites (fractional):
As  0.2500  0.0867  0.0000
P  0.2500  0.0701  0.5114
Se  0.1367  0.0315  0.2680
Se  0.2500  0.6129  0.2439

Structure and simulated PXRD pattern of HoZnCoGe2 (a cell relaxed with PBE; a wavelength of 1.5418 Å).

Peak list (10 most intense, 2θ = 10–90°, sorted by position)
- hkl 1 1 1, 3.202 Å, I = 19
- hkl 0 0 2, 2.824 Å, I = 22
- hkl 2 0 0, 2.740 Å, I = 34
- hkl 0 1 2, 2.513 Å, I = 25
- hkl 2 1 0, 2.454 Å, I = 13
- hkl 1 2 1, 2.258 Å, I = 100
- hkl 2 1 1, 2.250 Å, I = 14
- hkl 2 0 2, 1.966 Å, I = 35
- hkl 1 2 3, 1.495 Å, I = 14
- hkl 3 2 1, 1.470 Å, I = 25

Atomic structure:
abc: 5.4798 5.5141 5.6476
angles: 90.00 90.00 90.00
Space group Pmma (No. 51)
Symmetry-distinct sites (fractional):
Ho  0.2500  0.0000  0.2240
Zn  0.2500  0.5000  0.3684
Co  0.0000  0.5000  0.0000
Ge  0.2500  0.2403  0.7464

Structure and simulated PXRD pattern of Pr3PuO7 (a cell relaxed with PBE; a wavelength of 1.5418 Å).

Peak list (10 most intense, 2θ = 10–90°, sorted by position)
- hkl 0 2 2, 3.247 Å, I = 100
- hkl 2 2 0, 3.207 Å, I = 98
- hkl 2 0 2, 2.795 Å, I = 70
- hkl 0 0 4, 1.996 Å, I = 17
- hkl 2 4 2, 1.975 Å, I = 60
- hkl 4 0 0, 1.959 Å, I = 14
- hkl 2 2 4, 1.695 Å, I = 31
- hkl 0 6 2, 1.686 Å, I = 13
- hkl 2 6 0, 1.681 Å, I = 13
- hkl 4 2 2, 1.678 Å, I = 28

Atomic structure:
abc: 7.8368 11.1638 7.9854
angles: 90.00 90.00 90.00
Space group Cmcm (No. 63)
Symmetry-distinct sites (fractional):
Pr  0.0000  0.0000  0.0000
Pr  0.2325  0.2664  0.2500
Pu  0.0000  0.5000  0.0000
O  0.0000  0.1305  0.7500
O  0.0000  0.1336  0.2500
O  0.0000  0.4183  0.2500
O  0.2025  0.3769  0.5283

Structure and simulated PXRD pattern of K2NaZn3Sb4 (a cell relaxed with PBE; a wavelength of 1.5418 Å).

Peak list (10 most intense, 2θ = 10–90°, sorted by position)
- hkl 1 0 1, 4.500 Å, I = 56
- hkl 1 1 1, 3.307 Å, I = 24
- hkl 1 0 3, 3.040 Å, I = 38
- hkl 1 1 2, 2.968 Å, I = 100
- hkl 2 0 0, 2.439 Å, I = 80
- hkl 1 1 4, 2.227 Å, I = 74
- hkl 1 0 5, 2.104 Å, I = 30
- hkl 2 2 0, 1.724 Å, I = 27
- hkl 2 1 5, 1.593 Å, I = 24
- hkl 3 1 4, 1.363 Å, I = 30

Atomic structure:
abc: 4.8773 4.8773 11.6633
angles: 90.00 90.00 90.00
Space group P-4m2 (No. 115)
Symmetry-distinct sites (fractional):
K  0.0000  0.5000  0.2483
Na  0.5000  0.5000  0.0000
Zn  0.0000  0.0000  0.0000
Zn  0.0000  0.5000  0.6329
Sb  0.0000  0.0000  0.5000
Sb  0.0000  0.5000  0.8594
Sb  0.5000  0.5000  0.5000

Structure and simulated PXRD pattern of LaPr2Tm5Sc (a cell relaxed with PBE; a wavelength of 1.5418 Å).

Peak list (10 most intense, 2θ = 10–90°, sorted by position)
- hkl 2 1 3, 3.084 Å, I = 72
- hkl 2 2 0, 3.058 Å, I = 51
- hkl 2 0 4, 2.868 Å, I = 100
- hkl 3 1 0, 2.735 Å, I = 30
- hkl 2 1 5, 2.403 Å, I = 13
- hkl 3 2 1, 2.370 Å, I = 20
- hkl 4 1 1, 2.079 Å, I = 22
- hkl 4 1 3, 1.941 Å, I = 19
- hkl 4 2 4, 1.727 Å, I = 18
- hkl 5 1 4, 1.551 Å, I = 14

Atomic structure:
abc: 8.6490 8.6490 15.3325
angles: 90.00 90.00 90.00
Space group I4/mcm (No. 140)
Symmetry-distinct sites (fractional):
La  0.0000  0.0000  0.2500
Pr  0.1195  0.3805  0.0000
Tm  0.0000  0.0000  0.0000
Tm  0.2060  0.2940  0.3600
Sc  0.0000  0.5000  0.2500

Structure and simulated PXRD pattern of TmSeO4 (a cell relaxed with PBE; a wavelength of 1.5418 Å).

Peak list (10 most intense, 2θ = 10–90°, sorted by position)
- hkl 1 0 1, 4.798 Å, I = 23
- hkl 2 0 0, 3.589 Å, I = 100
- hkl 1 1 2, 2.722 Å, I = 73
- hkl 2 2 0, 2.538 Å, I = 24
- hkl 3 1 2, 1.856 Å, I = 63
- hkl 4 0 0, 1.794 Å, I = 15
- hkl 4 2 0, 1.605 Å, I = 15
- hkl 3 3 2, 1.498 Å, I = 19
- hkl 2 0 4, 1.471 Å, I = 14
- hkl 5 1 2, 1.290 Å, I = 14

Atomic structure:
abc: 7.1772 7.1772 6.4509
angles: 90.00 90.00 90.00
Space group I4_1/amd (No. 141, origin choice 2)
Symmetry-distinct sites (fractional):
Tm  0.0000  0.2500  0.3750
Se  0.0000  0.2500  0.8750
O  0.0000  0.0683  0.6799

Structure and simulated PXRD pattern of Pm4AsIr2 (a cell relaxed with PBE; a wavelength of 1.5418 Å).

Peak list (10 most intense, 2θ = 10–90°, sorted by position)
- hkl 1 1 0, 6.719 Å, I = 21
- hkl 0 0 2, 3.140 Å, I = 24
- hkl 3 1 -1, 2.987 Å, I = 39
- hkl 1 3 1, 2.900 Å, I = 18
- hkl 0 4 1, 2.809 Å, I = 100
- hkl 1 3 -2, 2.741 Å, I = 14
- hkl 1 1 2, 2.465 Å, I = 14
- hkl 1 5 0, 2.392 Å, I = 15
- hkl 3 3 -2, 2.376 Å, I = 26
- hkl 4 2 -2, 2.156 Å, I = 16

Atomic structure:
abc: 9.2805 12.5429 7.3325
angles: 90.00 120.98 90.00
Space group Cc (No. 9)
Symmetry-distinct sites (fractional):
Pm  0.0000  0.0033  0.0000
Pm  0.1557  0.3032  0.1711
Pm  0.2838  0.2523  0.7581
Pm  0.4710  0.0648  0.1872
As  0.2646  0.1069  0.4153
Ir  0.2188  0.4628  0.5597
Ir  0.4797  0.3112  0.2208

Structure and simulated PXRD pattern of Pm2Pr9Sm3 (a cell relaxed with PBE; a wavelength of 1.5418 Å).

Peak list (10 most intense, 2θ = 10–90°, sorted by position)
- hkl 0 0 4, 3.486 Å, I = 26
- hkl 2 0 3, 3.037 Å, I = 39
- hkl 2 1 1, 2.964 Å, I = 65
- hkl 2 1 2, 2.782 Å, I = 100
- hkl 1 0 5, 2.636 Å, I = 22
- hkl 2 1 3, 2.540 Å, I = 20
- hkl 3 0 4, 2.122 Å, I = 10
- hkl 1 4 0, 1.751 Å, I = 25
- hkl 1 3 5, 1.740 Å, I = 17
- hkl 1 4 4, 1.565 Å, I = 14

Atomic structure:
abc: 9.2656 9.2656 13.9536
angles: 90.00 90.00 120.00
Space group P6_3/m (No. 176)
Symmetry-distinct sites (fractional):
Pm  0.3333  0.6667  0.1411
Pr  0.0803  0.4802  0.7500
Pr  0.1297  0.7241  0.5400
Sm  0.0802  0.2493  0.2500

Structure and simulated PXRD pattern of RbNd2Au2O6 (a cell relaxed with PBE; a wavelength of 1.5418 Å).

Peak list (10 most intense, 2θ = 10–90°, sorted by position)
- hkl 0 1 0, 5.220 Å, I = 54
- hkl 1 -1 0, 5.083 Å, I = 89
- hkl 1 0 -1, 4.951 Å, I = 62
- hkl 1 1 0, 3.200 Å, I = 37
- hkl 0 1 1, 3.149 Å, I = 100
- hkl 1 1 -2, 3.052 Å, I = 56
- hkl 2 0 0, 2.818 Å, I = 48
- hkl -2 1 1, 2.809 Å, I = 73
- hkl 1 -1 2, 2.772 Å, I = 60
- hkl 1 0 -3, 2.051 Å, I = 42

Atomic structure:
abc: 6.3185 6.4478 6.8463
angles: 116.05 98.16 108.86
Space group P-1 (No. 2)
Symmetry-distinct sites (fractional):
Rb  0.0000  0.0000  0.0000
Nd  0.0216  0.3395  0.6840
Au  0.4567  0.0433  0.8201
O  0.1554  0.7160  0.6737
O  0.2282  0.6690  0.0873
O  0.2542  0.1148  0.6067